For Er2B2Cl2O5, a DFT-relaxed cell (PBE, the Materials Project) gives the theoretical X-ray powder pattern in this record (Cu Kα X-rays).

Largest 6 diffraction maxima, in order of falling intensity, 2θ = 10–90°:
2θ/deg  I_rel
16.77  100
17.58  50
23.89  41
33.91  34
29.14  32
29.82  31

a b c (Å): 10.0881 14.9006 5.2875
angles (deg): 90.00 90.00 90.00
Sites, in units of the cell vectors:
1 Er 0.0309 0.1209 0.0000
2 Er 0.0692 0.6092 0.0000
3 Er 0.4308 0.1092 0.0000
4 Er 0.4691 0.6209 0.0000
5 Er 0.5309 0.3791 0.0000
6 Er 0.5692 0.8908 0.0000
7 Er 0.9308 0.3908 0.0000
8 Er 0.9691 0.8791 0.0000
9 B 0.1979 0.2673 0.0000
10 B 0.2446 0.9347 0.0000
11 B 0.2554 0.4347 0.0000
12 B 0.3021 0.7673 0.0000
13 B 0.6979 0.2327 0.0000
14 B 0.7446 0.5653 0.0000
15 B 0.7554 0.0653 0.0000
16 B 0.8021 0.7327 0.0000
17 Cl 0.0074 0.1311 0.5000
18 Cl 0.0872 0.6103 0.5000
19 Cl 0.4128 0.1103 0.5000
20 Cl 0.4926 0.6311 0.5000
21 Cl 0.5074 0.3689 0.5000
22 Cl 0.5872 0.8897 0.5000
23 Cl 0.9128 0.3897 0.5000
24 Cl 0.9926 0.8689 0.5000
25 O 0.0627 0.2757 0.0000
26 O 0.1284 0.4641 0.0000
27 O 0.1334 0.9875 0.0000
28 O 0.2127 0.8406 0.0000
29 O 0.2437 0.1810 0.0000
30 O 0.2563 0.6810 0.0000
31 O 0.2873 0.3406 0.0000
32 O 0.3666 0.4875 0.0000
33 O 0.3716 0.9641 0.0000
34 O 0.4373 0.7757 0.0000
35 O 0.5627 0.2243 0.0000
36 O 0.6284 0.0359 0.0000
37 O 0.6334 0.5125 0.0000
38 O 0.7127 0.6594 0.0000
39 O 0.7437 0.3190 0.0000
40 O 0.7563 0.8190 0.0000
41 O 0.7873 0.1594 0.0000
42 O 0.8666 0.0125 0.0000
43 O 0.8716 0.5359 0.0000
44 O 0.9373 0.7243 0.0000

=====

For Eu5B3ClO9, a DFT-relaxed cell (PBE, the Materials Project) gives the theoretical X-ray powder pattern in this record (Cu Kα X-rays).

Largest 6 diffraction maxima, in order of falling intensity, 2θ = 10–90°:
2θ/deg  I_rel
29.85  100
31.75  59
23.84  56
50.66  46
26.27  46
30.64  41

a b c (Å): 8.7535 8.7535 7.4453
angles (deg): 90.00 90.00 109.78
Sites, in units of the cell vectors:
1 Eu 0.1354 0.8646 0.7500
2 Eu 0.1379 0.8621 0.2500
3 Eu 0.2397 0.4950 0.4387
4 Eu 0.2614 0.2614 0.0000
5 Eu 0.4950 0.2397 0.5613
6 Eu 0.5050 0.7603 0.0613
7 Eu 0.7386 0.7386 0.5000
8 Eu 0.7603 0.5050 0.9387
9 Eu 0.8621 0.1379 0.7500
10 Eu 0.8646 0.1354 0.2500
11 B 0.0897 0.5142 0.0312
12 B 0.1305 0.1305 0.5000
13 B 0.4858 0.9103 0.4688
14 B 0.5142 0.0897 0.9688
15 B 0.8695 0.8695 0.0000
16 B 0.9103 0.4858 0.5312
17 Cl 0.4481 0.5519 0.7500
18 Cl 0.5519 0.4481 0.2500
19 O 0.0089 0.0089 0.0000
20 O 0.0223 0.6399 0.4924
21 O 0.0536 0.6520 0.9873
22 O 0.1965 0.1968 0.3372
23 O 0.1968 0.1965 0.6628
24 O 0.2338 0.5280 0.1171
25 O 0.3480 0.9464 0.5127
26 O 0.3601 0.9777 0.0076
27 O 0.4720 0.7662 0.3829
28 O 0.5280 0.2338 0.8829
29 O 0.6399 0.0223 0.5076
30 O 0.6520 0.0536 0.0127
31 O 0.7662 0.4720 0.6171
32 O 0.8032 0.8035 0.1628
33 O 0.8035 0.8032 0.8372
34 O 0.9464 0.3480 0.4873
35 O 0.9777 0.3601 0.9924
36 O 0.9911 0.9911 0.5000

=====

For Eu4BClO7, a DFT-relaxed cell (PBE, the Materials Project) gives the theoretical X-ray powder pattern in this record (Cu Kα X-rays).

Largest 6 diffraction maxima, in order of falling intensity, 2θ = 10–90°:
2θ/deg  I_rel
29.65  100
28.86  63
32.92  56
24.73  42
23.71  38
46.34  30

a b c (Å): 8.9202 8.3122 12.6684
angles (deg): 90.00 121.55 90.00
Sites, in units of the cell vectors:
1 Eu 0.0789 0.1345 0.4222
2 Eu 0.0789 0.3655 0.9222
3 Eu 0.0896 0.6188 0.4176
4 Eu 0.0896 0.8812 0.9176
5 Eu 0.3022 0.1301 0.7820
6 Eu 0.3022 0.3699 0.2820
7 Eu 0.3182 0.6143 0.7810
8 Eu 0.3182 0.8857 0.2810
9 Eu 0.6818 0.1143 0.7190
10 Eu 0.6818 0.3857 0.2190
11 Eu 0.6978 0.6301 0.7180
12 Eu 0.6978 0.8699 0.2180
13 Eu 0.9104 0.1188 0.0824
14 Eu 0.9104 0.3812 0.5824
15 Eu 0.9211 0.6345 0.0778
16 Eu 0.9211 0.8655 0.5778
17 B 0.3677 0.1285 0.0863
18 B 0.3677 0.3715 0.5863
19 B 0.6323 0.6285 0.4137
20 B 0.6323 0.8715 0.9137
21 Cl 0.3825 0.6359 0.0362
22 Cl 0.3825 0.8641 0.5362
23 Cl 0.6175 0.1359 0.4638
24 Cl 0.6175 0.3641 0.9638
25 O 0.0408 0.1230 0.5949
26 O 0.0408 0.3770 0.0949
27 O 0.0647 0.6238 0.5902
28 O 0.0647 0.8762 0.0902
29 O 0.1724 0.1167 0.2788
30 O 0.1724 0.3833 0.7788
31 O 0.1922 0.6355 0.2771
32 O 0.1922 0.8645 0.7771
33 O 0.2798 0.1199 0.9586
34 O 0.2798 0.3801 0.4586
35 O 0.3896 0.2231 0.6400
36 O 0.3896 0.2769 0.1400
37 O 0.4205 0.5107 0.6540
38 O 0.4205 0.9893 0.1540
39 O 0.5795 0.0107 0.8460
40 O 0.5795 0.4893 0.3460
41 O 0.6104 0.7231 0.8600
42 O 0.6104 0.7769 0.3600
43 O 0.7202 0.6199 0.5414
44 O 0.7202 0.8801 0.0414
45 O 0.8078 0.1355 0.2229
46 O 0.8078 0.3645 0.7229
47 O 0.8276 0.6167 0.2212
48 O 0.8276 0.8833 0.7212
49 O 0.9353 0.1238 0.9098
50 O 0.9353 0.3762 0.4098
51 O 0.9592 0.6230 0.9051
52 O 0.9592 0.8770 0.4051

=====

For Rb3B12H12Cl, a DFT-relaxed cell (PBE, the Materials Project) gives the theoretical X-ray powder pattern in this record (Cu Kα X-rays).

Largest 6 diffraction maxima, in order of falling intensity, 2θ = 10–90°:
2θ/deg  I_rel
25.30  100
21.48  98
35.10  40
37.05  35
28.95  31
27.74  28

a b c (Å): 7.0581 7.0581 7.0581
angles (deg): 92.85 92.85 92.85
Sites, in units of the cell vectors:
1 Rb 0.0000 0.5000 0.5000
2 Rb 0.5000 0.0000 0.5000
3 Rb 0.5000 0.5000 0.0000
4 B 0.0580 0.0580 0.2316
5 B 0.0580 0.2316 0.0580
6 B 0.1213 0.1213 0.8399
7 B 0.1213 0.8399 0.1213
8 B 0.1601 0.8787 0.8787
9 B 0.2316 0.0580 0.0580
10 B 0.7684 0.9420 0.9420
11 B 0.8399 0.1213 0.1213
12 B 0.8787 0.1601 0.8787
13 B 0.8787 0.8787 0.1601
14 B 0.9420 0.7684 0.9420
15 B 0.9420 0.9420 0.7684
16 H 0.0993 0.0993 0.3959
17 H 0.0993 0.3959 0.0993
18 H 0.2090 0.2090 0.7277
19 H 0.2090 0.7277 0.2090
20 H 0.2723 0.7910 0.7910
21 H 0.3959 0.0993 0.0993
22 H 0.6041 0.9007 0.9007
23 H 0.7277 0.2090 0.2090
24 H 0.7910 0.2723 0.7910
25 H 0.7910 0.7910 0.2723
26 H 0.9007 0.6041 0.9007
27 H 0.9007 0.9007 0.6041
28 Cl 0.5000 0.5000 0.5000

=====

For Hg2BCl, a DFT-relaxed cell (PBE, the Materials Project) gives the theoretical X-ray powder pattern in this record (Cu Kα X-rays).

Largest 6 diffraction maxima, in order of falling intensity, 2θ = 10–90°:
2θ/deg  I_rel
35.58  100
21.57  73
41.98  42
63.90  36
56.18  18
51.20  18

a b c (Å): 5.0467 5.0467 5.0467
angles (deg): 60.00 60.00 60.00
Sites, in units of the cell vectors:
1 Hg 0.0000 0.0000 0.0000
2 Hg 0.2500 0.2500 0.2500
3 B 0.5000 0.5000 0.5000
4 Cl 0.7500 0.7500 0.7500